Record 1
# Tb5Ho12Sc
Simulated PXRD pattern, Cu Ka. Input: a DFT-relaxed cell (GGA-PBE, Alexandria).
Neutral-atom scattering factors, no anomalous dispersion.

Crystal structure
a b c (Å): 6.1133 6.1133 17.2424
angles (deg): 93.40 93.40 119.98
Fractional positions:
Tb (0.0000, 0.0000, 0.0000)
Tb (0.1667, 0.8333, 0.5000)
Tb (0.3333, 0.6667, 0.0000)
Tb (0.6667, 0.3333, 0.0000)
Tb (0.8333, 0.1667, 0.5000)
Ho (0.0560, 0.3895, 0.1675)
Ho (0.1139, 0.1139, 0.3339)
Ho (0.2239, 0.5551, 0.6661)
Ho (0.2768, 0.2768, 0.8325)
Ho (0.3895, 0.0560, 0.1675)
Ho (0.4449, 0.7761, 0.3339)
Ho (0.5551, 0.2239, 0.6661)
Ho (0.6105, 0.9440, 0.8325)
Ho (0.7232, 0.7232, 0.1675)
Ho (0.7761, 0.4449, 0.3339)
Ho (0.8861, 0.8861, 0.6661)
Ho (0.9440, 0.6105, 0.8325)
Sc (0.5000, 0.5000, 0.5000)

Largest 10 diffraction maxima, most intense first, 2θ from 10° to 80°:
d [Å]	I_rel
2.760	100
2.853	90
2.930	90
2.627	83
1.501	78
1.765	67
2.418	55
2.822	49
2.558	37
1.659	23



Record 2
# Tb5Ho8Sc
Simulated PXRD pattern, Cu Ka. Input: a DFT-relaxed cell (GGA-PBE, Alexandria).
Neutral-atom scattering factors, no anomalous dispersion.

Crystal structure
a b c (Å): 8.2475 8.3588 8.6474
angles (deg): 117.15 118.47 90.04
Fractional positions:
Tb (0.0000, 0.0000, 0.0000)
Tb (0.0995, 0.5486, 0.1984)
Tb (0.3998, 0.2753, 0.0996)
Tb (0.6231, 0.3020, 0.8843)
Tb (0.8360, 0.2442, 0.3129)
Ho (0.1193, 0.9853, 0.4397)
Ho (0.2150, 0.5960, 0.8415)
Ho (0.3197, 0.3454, 0.4782)
Ho (0.4558, 0.8439, 0.7238)
Ho (0.4739, 0.9528, 0.3576)
Ho (0.7780, 0.5624, 0.7577)
Ho (0.8330, 0.7046, 0.4758)
Ho (0.9424, 0.2033, 0.7208)
Sc (0.6787, 0.7725, 0.0988)

Largest 10 diffraction maxima, most intense first, 2θ from 10° to 80°:
d [Å]	I_rel
2.871	100
2.702	92
2.812	76
2.790	53
2.934	51
2.834	42
3.547	39
2.690	32
2.611	32
2.047	21



Record 3
# Tb2Ho12Sc
Simulated PXRD pattern, Cu Ka. Input: a DFT-relaxed cell (GGA-PBE, Alexandria).
Neutral-atom scattering factors, no anomalous dispersion.

Crystal structure
a b c (Å): 3.5367 5.4335 24.3974
angles (deg): 90.00 90.72 90.00
Fractional positions:
Tb (0.2253, 0.0000, 0.2767)
Tb (0.7747, 0.0000, 0.7233)
Ho (0.2156, 0.0000, 0.1277)
Ho (0.2261, 0.5000, 0.9387)
Ho (0.2449, 0.5000, 0.4453)
Ho (0.2565, 0.0000, 0.5743)
Ho (0.2689, 0.5000, 0.6686)
Ho (0.2788, 0.5000, 0.8008)
Ho (0.7212, 0.5000, 0.1992)
Ho (0.7311, 0.5000, 0.3314)
Ho (0.7435, 0.0000, 0.4257)
Ho (0.7551, 0.5000, 0.5547)
Ho (0.7739, 0.5000, 0.0613)
Ho (0.7844, 0.0000, 0.8723)
Sc (0.5000, 0.0000, 0.0000)

Largest 10 diffraction maxima, most intense first, 2θ from 10° to 80°:
d [Å]	I_rel
2.656	100
2.716	83
2.942	71
2.934	67
2.873	37
2.677	30
2.685	29
1.482	26
1.768	25
1.608	23



Record 4
# TbHoSc
Simulated PXRD pattern, Cu Ka. Input: a DFT-relaxed cell (GGA-PBE, Alexandria).
Neutral-atom scattering factors, no anomalous dispersion.

Crystal structure
a b c (Å): 3.5205 18.2134 5.5013
angles (deg): 90.00 90.00 90.00
Fractional positions:
Tb (0.0000, 0.2203, 0.2500)
Tb (0.0000, 0.7797, 0.7500)
Tb (0.5000, 0.2797, 0.7500)
Tb (0.5000, 0.7203, 0.2500)
Ho (0.0000, 0.1059, 0.7500)
Ho (0.0000, 0.8941, 0.2500)
Ho (0.5000, 0.3941, 0.2500)
Ho (0.5000, 0.6059, 0.7500)
Sc (0.0000, 0.4471, 0.7500)
Sc (0.0000, 0.5529, 0.2500)
Sc (0.5000, 0.0529, 0.2500)
Sc (0.5000, 0.9471, 0.7500)

Largest 10 diffraction maxima, most intense first, 2θ from 10° to 80°:
d [Å]	I_rel
2.662	100
2.751	25
3.042	24
1.571	16
2.040	15
1.479	14
3.508	13
1.754	13
1.468	10
3.457	9